# 1
# Tm3Ir
Simulated powder diffractogram, Cu Kα X-rays. Input: a DFT-relaxed cell (PBE, the Materials Project).

Atomic structure:
abc: 7.209 9.115 6.274
angles: 90.00 90.00 90.00
Space group Pnma (No. 62)
Asymmetric unit:
1 Tm 0.035 0.250 0.133 x4
2 Tm 0.177 0.062 0.671 x8
3 Ir 0.118 0.750 0.454 x4

Top 10 peaks for 5° ≤ 2θ ≤ 70°, in order of rising 2θ:
| h k l | Position (°2θ) | I (rel.) |
| --- | --- | --- |
| 2 1 1 | 30.23 | 41 |
| 2 2 0 | 31.65 | 56 |
| 1 1 2 | 32.64 | 87 |
| 0 3 1 | 32.75 | 62 |
| 2 2 1 | 34.78 | 100 |
| 1 3 1 | 35.10 | 68 |
| 1 2 2 | 36.96 | 34 |
| 2 3 0 | 38.76 | 44 |
| 3 0 1 | 40.19 | 38 |
| 1 2 3 | 49.60 | 36 |

=====

# 2
# Tm5Ir3
Simulated powder diffractogram, Cu Kα X-rays. Input: a DFT-relaxed cell (PBE, the Materials Project).

Atomic structure:
abc: 10.742 10.742 6.307
angles: 90.00 90.00 90.00
Space group P4/ncc (No. 130, origin choice 2)
Asymmetric unit:
1 Tm 0.041 0.162 0.123 x16
2 Tm 0.250 0.750 0.000 x4
3 Ir 0.096 0.596 0.750 x8
4 Ir 0.250 0.250 0.379 x4

Top 10 peaks for 5° ≤ 2θ ≤ 70°, in order of rising 2θ:
| h k l | Position (°2θ) | I (rel.) |
| --- | --- | --- |
| 2 1 1 | 23.28 | 15 |
| 3 1 1 | 29.88 | 38 |
| 3 2 1 | 33.26 | 34 |
| 2 1 2 | 34.01 | 42 |
| 4 2 0 | 37.39 | 100 |
| 3 0 2 | 38.02 | 20 |
| 3 1 2 | 38.97 | 25 |
| 4 0 2 | 44.30 | 13 |
| 2 1 3 | 47.19 | 21 |
| 4 4 0 | 47.84 | 17 |

=====

# 3
# YTmIr2
Simulated powder diffractogram, Cu Kα X-rays. Input: a DFT-relaxed cell (PBE, the Materials Project).

Atomic structure:
abc: 6.825 6.825 6.825
angles: 90.00 90.00 90.00
Space group Fm-3m (No. 225)
Asymmetric unit:
1 Y 0.000 0.000 0.000 x4
2 Tm 0.000 0.000 0.500 x4
3 Ir 0.250 0.250 0.250 x8

Top 9 peaks for 5° ≤ 2θ ≤ 70°, in order of rising 2θ:
| h k l | Position (°2θ) | I (rel.) |
| --- | --- | --- |
| 1 1 1 | 22.56 | 3 |
| 2 0 0 | 26.11 | 4 |
| 2 2 0 | 37.26 | 100 |
| 3 1 1 | 44.00 | 2 |
| 2 2 2 | 46.07 | 1 |
| 4 0 0 | 53.72 | 18 |
| 3 3 1 | 58.99 | 1 |
| 4 2 0 | 60.68 | 2 |
| 4 2 2 | 67.19 | 36 |

=====

# 4
# UIr2
Simulated powder diffractogram, Cu Kα X-rays. Input: a DFT-relaxed cell (PBE, the Materials Project).

Atomic structure:
abc: 7.533 7.533 7.533
angles: 90.00 90.00 90.00
Space group Fd-3m (No. 227, origin choice 2)
Asymmetric unit:
1 U 0.125 0.125 0.125 x8
2 Ir 0.000 0.000 0.500 x16

Top 7 peaks for 5° ≤ 2θ ≤ 70°, in order of rising 2θ:
| h k l | Position (°2θ) | I (rel.) |
| --- | --- | --- |
| 1 1 1 | 20.42 | 1 |
| 2 2 0 | 33.65 | 33 |
| 3 1 1 | 39.68 | 100 |
| 2 2 2 | 41.53 | 34 |
| 4 0 0 | 48.33 | 3 |
| 4 2 2 | 60.18 | 13 |
| 5 1 1 | 64.25 | 33 |

=====

# 5
# UIr3
Simulated powder diffractogram, Cu Kα X-rays. Input: a DFT-relaxed cell (PBE, the Materials Project).

Atomic structure:
abc: 4.051 4.051 4.051
angles: 90.00 90.00 90.00
Space group Pm-3m (No. 221)
Asymmetric unit:
1 U 0.000 0.000 0.000 x1
2 Ir 0.000 0.500 0.500 x3

Top 5 peaks for 5° ≤ 2θ ≤ 70°, in order of rising 2θ:
| h k l | Position (°2θ) | I (rel.) |
| --- | --- | --- |
| 1 0 0 | 21.94 | 1 |
| 1 1 0 | 31.22 | 1 |
| 1 1 1 | 38.49 | 100 |
| 2 0 0 | 44.74 | 49 |
| 2 2 0 | 65.12 | 33 |

=====

# 6
# V4Ir
Simulated powder diffractogram, Cu Kα X-rays. Input: a DFT-relaxed cell (PBE, the Materials Project).

Atomic structure:
abc: 3.020 4.414 20.612
angles: 90.00 90.00 90.00
Space group Fmmm (No. 69)
Asymmetric unit:
1 V 0.000 0.000 0.103 x8
2 V 0.000 0.000 0.299 x8
3 Ir 0.000 0.000 0.500 x4

Top 10 peaks for 5° ≤ 2θ ≤ 70°, in order of rising 2θ:
| h k l | Position (°2θ) | I (rel.) |
| --- | --- | --- |
| 0 0 2 | 8.58 | 100 |
| 0 0 4 | 17.21 | 24 |
| 0 0 6 | 25.94 | 10 |
| 1 1 1 | 36.31 | 17 |
| 1 1 3 | 38.42 | 15 |
| 0 2 0 | 40.89 | 23 |
| 1 1 5 | 42.38 | 83 |
| 0 0 10 | 43.93 | 19 |
| 2 0 0 | 61.41 | 7 |
| 0 2 10 | 61.56 | 13 |

=====

# 7
# VIr3
Simulated powder diffractogram, Cu Kα X-rays. Input: a DFT-relaxed cell (PBE, the Materials Project).

Atomic structure:
abc: 5.4659 5.4659 4.3578
angles: 90.00 90.00 120.00
Space group P6_3/mmc (No. 194)
Asymmetric unit:
1 V 0.3333 0.6667 0.2500 x2
2 Ir 0.1675 0.3350 0.7500 x6

Top 10 peaks for 5° ≤ 2θ ≤ 70°, in order of rising 2θ:
| h k l | Position (°2θ) | I (rel.) |
| --- | --- | --- |
| 1 0 0 | 18.75 | 6 |
| 1 0 1 | 27.83 | 17 |
| 1 1 0 | 32.77 | 7 |
| 2 0 0 | 38.02 | 24 |
| 0 0 2 | 41.44 | 26 |
| 2 0 1 | 43.51 | 100 |
| 1 1 2 | 53.81 | 4 |
| 2 1 1 | 55.52 | 5 |
| 2 0 2 | 57.49 | 15 |
| 2 2 0 | 68.69 | 17 |

=====

# 8
# VIr3
Simulated powder diffractogram, Cu Kα X-rays. Input: a DFT-relaxed cell (PBE, the Materials Project).

Atomic structure:
abc: 3.839 3.839 3.839
angles: 90.00 90.00 90.00
Space group Pm-3m (No. 221)
Asymmetric unit:
1 V 0.000 0.000 0.000 x1
2 Ir 0.000 0.500 0.500 x3

Top 7 peaks for 5° ≤ 2θ ≤ 70°, in order of rising 2θ:
| h k l | Position (°2θ) | I (rel.) |
| --- | --- | --- |
| 1 0 0 | 23.17 | 16 |
| 1 1 0 | 32.99 | 13 |
| 1 1 1 | 40.70 | 100 |
| 2 0 0 | 47.36 | 49 |
| 2 1 0 | 53.36 | 7 |
| 2 1 1 | 58.92 | 6 |
| 2 2 0 | 69.21 | 31 |

=====

# 9
# Ir4W
Simulated powder diffractogram, Cu Kα X-rays. Input: a DFT-relaxed cell (PBE, the Materials Project).

Atomic structure:
abc: 2.7557 2.7557 33.9317
angles: 90.00 90.00 120.00
Space group R-3m (No. 166, hexagonal axes)
Asymmetric unit:
1 Ir 0.0000 0.0000 0.1003 x6
2 Ir 0.0000 0.0000 0.3008 x6
3 W 0.0000 0.0000 0.5000 x3

Top 5 peaks for 5° ≤ 2θ ≤ 70°, in order of rising 2θ:
| h k l | Position (°2θ) | I (rel.) |
| --- | --- | --- |
| 0 0 15 | 39.85 | 34 |
| 0 1 5 | 40.05 | 100 |
| 1 0 10 | 46.52 | 66 |
| 0 1 20 | 67.77 | 22 |
| 1 1 0 | 68.04 | 21 |

=====

# 10
# IrW
Simulated powder diffractogram, Cu Kα X-rays. Input: a DFT-relaxed cell (PBE, the Materials Project).

Atomic structure:
abc: 2.8061 2.8061 4.4839
angles: 90.00 90.00 120.00
Space group P-6m2 (No. 187)
Asymmetric unit:
1 Ir 0.0000 0.0000 0.0000 x1
2 W 0.6667 0.3333 0.5000 x1

Top 5 peaks for 5° ≤ 2θ ≤ 70°, in order of rising 2θ:
| h k l | Position (°2θ) | I (rel.) |
| --- | --- | --- |
| 1 0 0 | 36.99 | 24 |
| 0 0 2 | 40.22 | 26 |
| 1 0 1 | 42.30 | 100 |
| 1 0 2 | 55.79 | 15 |
| 1 1 0 | 66.66 | 18 |

=====

# 11
# IrW
Simulated powder diffractogram, Cu Kα X-rays. Input: a DFT-relaxed cell (PBE, the Materials Project).

Atomic structure:
abc: 4.496 2.782 4.866
angles: 90.00 90.00 90.00
Space group Pmma (No. 51)
Asymmetric unit:
1 Ir 0.250 0.000 0.176 x2
2 W 0.250 0.500 0.672 x2

Top 9 peaks for 5° ≤ 2θ ≤ 70°, in order of rising 2θ:
| h k l | Position (°2θ) | I (rel.) |
| --- | --- | --- |
| 0 0 2 | 36.94 | 16 |
| 0 1 1 | 37.23 | 19 |
| 2 0 0 | 40.12 | 37 |
| 1 0 2 | 42.23 | 43 |
| 1 1 1 | 42.49 | 100 |
| 2 0 2 | 55.67 | 10 |
| 2 1 1 | 55.87 | 12 |
| 0 1 3 | 66.75 | 17 |
| 0 2 0 | 67.31 | 8 |

=====

# 12
# Ir3W
Simulated powder diffractogram, Cu Kα X-rays. Input: a DFT-relaxed cell (PBE, the Materials Project).

Atomic structure:
abc: 5.5525 5.5525 4.4347
angles: 90.00 90.00 120.00
Space group P6_3/mmc (No. 194)
Asymmetric unit:
1 Ir 0.1665 0.3331 0.2500 x6
2 W 0.3333 0.6667 0.7500 x2

Top 5 peaks for 5° ≤ 2θ ≤ 70°, in order of rising 2θ:
| h k l | Position (°2θ) | I (rel.) |
| --- | --- | --- |
| 2 0 0 | 37.40 | 24 |
| 0 0 2 | 40.69 | 26 |
| 2 0 1 | 42.78 | 100 |
| 2 0 2 | 56.45 | 15 |
| 2 2 0 | 67.47 | 18 |

=====

# 13
# YIr3
Simulated powder diffractogram, Cu Kα X-rays. Input: a DFT-relaxed cell (PBE, the Materials Project).

Atomic structure:
abc: 5.3329 5.3329 26.2301
angles: 90.00 90.00 120.00
Space group R-3m (No. 166, hexagonal axes)
Asymmetric unit:
1 Y 0.0000 0.0000 0.0000 x3
2 Y 0.0000 0.0000 0.1395 x6
3 Ir 0.0000 0.0000 0.3327 x6
4 Ir 0.0000 0.0000 0.5000 x3
5 Ir 0.0004 0.5002 0.0820 x18

Top 10 peaks for 5° ≤ 2θ ≤ 70°, in order of rising 2θ:
| h k l | Position (°2θ) | I (rel.) |
| --- | --- | --- |
| 1 0 1 | 19.52 | 56 |
| 1 1 0 | 33.57 | 24 |
| 0 2 1 | 39.16 | 26 |
| 1 1 6 | 39.59 | 100 |
| 2 0 2 | 39.63 | 16 |
| 0 0 12 | 41.30 | 33 |
| 0 1 11 | 42.67 | 19 |
| 2 0 5 | 42.79 | 53 |
| 0 2 7 | 46.17 | 36 |
| 3 0 6 | 64.13 | 24 |

=====

# 14
# Y4Ir
Simulated powder diffractogram, Cu Kα X-rays. Input: a DFT-relaxed cell (PBE, the Materials Project).

Atomic structure:
abc: 10.955 10.955 10.955
angles: 90.00 90.00 90.00
Space group Fd-3m (No. 227, origin choice 2)
Asymmetric unit:
1 Y 0.013 0.013 0.237 x32
2 Ir 0.125 0.125 0.625 x8

Top 10 peaks for 5° ≤ 2θ ≤ 70°, in order of rising 2θ:
| h k l | Position (°2θ) | I (rel.) |
| --- | --- | --- |
| 1 1 1 | 14.00 | 32 |
| 2 2 0 | 22.96 | 79 |
| 3 1 1 | 27.00 | 37 |
| 2 2 2 | 28.22 | 100 |
| 3 3 1 | 35.73 | 54 |
| 4 2 2 | 40.33 | 30 |
| 5 1 1 | 42.90 | 42 |
| 4 4 0 | 46.92 | 79 |
| 6 2 2 | 55.65 | 34 |
| 6 4 2 | 63.56 | 23 |

=====

# 15
# YIr
Simulated powder diffractogram, Cu Kα X-rays. Input: a DFT-relaxed cell (PBE, the Materials Project).

Atomic structure:
abc: 3.438 3.438 3.438
angles: 90.00 90.00 90.00
Space group Pm-3m (No. 221)
Asymmetric unit:
1 Y 0.000 0.000 0.000 x1
2 Ir 0.500 0.500 0.500 x1

Top 6 peaks for 5° ≤ 2θ ≤ 70°, in order of rising 2θ:
| h k l | Position (°2θ) | I (rel.) |
| --- | --- | --- |
| 1 0 0 | 25.91 | 15 |
| 1 1 0 | 36.97 | 100 |
| 1 1 1 | 45.71 | 5 |
| 2 0 0 | 53.29 | 18 |
| 2 1 0 | 60.18 | 7 |
| 2 1 1 | 66.63 | 36 |